Starting from a structure optimized by DFT (PBE), the powder XRD pattern of SmMg2Ag was calculated for a wavelength of 1.5418 Å.
Lines closer than 0.1° are merged.

Structural model:
a b c (Å): 5.048 5.048 5.048
angles (deg): 60.00 60.00 60.00
Positions (direct):
Sm  0.000  0.000  0.000
Mg  0.250  0.250  0.250
Mg  0.750  0.750  0.750
Ag  0.500  0.500  0.500

Main lines, by intensity (2θ from 15° to 90°):
two_theta	d (Å)	Rel. int.
35.6	2.524	100
24.9	3.570	56
63.9	1.457	35
57.8	1.596	22
51.2	1.785	17
43.9	2.061	17
86.1	1.129	15
75.3	1.262	11
80.8	1.190	10
21.6	4.122	3